# LiMnTe
Theoretical X-ray powder pattern, copper Kα. Input: a PBE-relaxed structure.
Intensities are scaled so that the largest is 100.

Structural model:
```
data_LiMnTe
_chemical_formula_sum 'Li2 Mn2 Te2'
_space_group_name_H-M_alt 'P 4/n m m'
_space_group_IT_number 129
_cell_length_a 4.002
_cell_length_b 4.002
_cell_length_c 7.328
_cell_angle_alpha 90.00
_cell_angle_beta 90.00
_cell_angle_gamma 90.00
loop_
_space_group_symop_operation_xyz
'x,y,z'
'-x,-y,-z'
'-y+1/2,x,z'
'y+1/2,-x,-z'
'-x+1/2,-y+1/2,z'
'x+1/2,y+1/2,-z'
'y,-x+1/2,z'
'-y,x+1/2,-z'
'x+1/2,-y,-z'
'-x+1/2,y,z'
'-y,-x,-z'
'y,x,z'
'-x,y+1/2,-z'
'x,-y+1/2,z'
'y+1/2,x+1/2,-z'
'-y+1/2,-x+1/2,z'
loop_
_atom_site_label
_atom_site_type_symbol
_atom_site_fract_x
_atom_site_fract_y
_atom_site_fract_z
_atom_site_occupancy
Li1 Li 0.250 0.750 0.000 1
Mn1 Mn 0.250 0.250 0.368 1
Te1 Te 0.250 0.250 0.739 1
```

Peak list (6 most intense, 5° ≤ 2θ ≤ 70°, in order of rising 2θ)
Position (°2θ)	I_rel	h k l
24.29	48	0 0 2
25.36	76	1 0 1
31.62	100	1 1 0
40.27	59	1 1 2
43.40	64	1 0 3
45.32	40	2 0 0

***

# Tb2Y3Ge4
Theoretical X-ray powder pattern, copper Kα. Input: a PBE-relaxed structure.
Intensities are scaled so that the largest is 100.

Structural model:
```
data_Tb2Y3Ge4
_chemical_formula_sum 'Tb4 Y6 Ge8'
_space_group_name_H-M_alt 'P 1 21/c 1'
_space_group_IT_number 14
_space_group_name_Hall '-P 2ybc'
_cell_length_a 8.006
_cell_length_b 7.804
_cell_length_c 7.628
_cell_angle_alpha 90.00
_cell_angle_beta 112.66
_cell_angle_gamma 90.00
loop_
_atom_site_label
_atom_site_type_symbol
_atom_site_fract_x
_atom_site_fract_y
_atom_site_fract_z
_atom_site_occupancy
Tb1 Tb 0.202 0.179 0.059 1
Y1 Y 0.235 0.663 0.224 1
Y2 Y 0.500 0.000 0.500 1
Ge1 Ge 0.089 0.532 0.820 1
Ge2 Ge 0.491 0.131 0.870 1
```

Peak list (6 most intense, 5° ≤ 2θ ≤ 70°, in order of rising 2θ)
Position (°2θ)	I_rel	h k l
29.79	66	2 1 -2
32.21	100	2 2 -1
33.42	79	2 2 0
34.15	96	1 1 2
36.84	62	0 3 1
37.28	71	1 1 -3

***

# Ti5FeSb2
Theoretical X-ray powder pattern, copper Kα. Input: a PBE-relaxed structure.
Intensities are scaled so that the largest is 100.

Structural model:
```
data_Ti5FeSb2
_chemical_formula_sum 'Ti20 Fe4 Sb8'
_space_group_name_H-M_alt 'I 4/m c m'
_space_group_IT_number 140
_space_group_name_Hall '-I 4 2c'
_cell_length_a 10.443
_cell_length_b 10.443
_cell_length_c 5.150
_cell_angle_alpha 90.00
_cell_angle_beta 90.00
_cell_angle_gamma 90.00
loop_
_atom_site_label
_atom_site_type_symbol
_atom_site_fract_x
_atom_site_fract_y
_atom_site_fract_z
_atom_site_occupancy
Ti1 Ti 0.000 0.500 0.250 1
Ti2 Ti 0.069 0.199 0.000 1
Fe1 Fe 0.000 0.000 0.250 1
Sb1 Sb 0.164 0.336 0.500 1
```

Peak list (6 most intense, 5° ≤ 2θ ≤ 70°, in order of rising 2θ)
Position (°2θ)	I_rel	h k l
25.75	67	2 1 1
36.50	26	3 3 0
38.55	24	4 2 0
39.00	32	2 0 2
39.65	100	4 1 1
51.35	23	3 3 2

***

# TmSc3In2
Theoretical X-ray powder pattern, copper Kα. Input: a PBE-relaxed structure.
Intensities are scaled so that the largest is 100.

Structural model:
```
data_TmSc3In2
_chemical_formula_sum 'Tm4 Sc12 In8'
_space_group_name_H-M_alt 'P n m a'
_space_group_IT_number 62
_space_group_name_Hall '-P 2ac 2n'
_cell_length_a 8.285
_cell_length_b 3.298
_cell_length_c 21.632
_cell_angle_alpha 90.00
_cell_angle_beta 90.00
_cell_angle_gamma 90.00
loop_
_atom_site_label
_atom_site_type_symbol
_atom_site_fract_x
_atom_site_fract_y
_atom_site_fract_z
_atom_site_occupancy
Tm1 Tm 0.000 0.250 0.073 1
Sc1 Sc 0.122 0.250 0.343 1
Sc2 Sc 0.173 0.750 0.475 1
Sc3 Sc 0.232 0.250 0.203 1
In1 In 0.076 0.250 0.795 1
In2 In 0.149 0.250 0.593 1
```

Peak list (6 most intense, 5° ≤ 2θ ≤ 70°, in order of rising 2θ)
Position (°2θ)	I_rel	h k l
11.44	36	1 0 1
30.88	38	1 0 7
32.69	44	3 0 1
33.62	100	1 1 4
35.91	33	1 1 5
37.00	54	2 1 3